For Li2Mn3B3O9, the PBE+U geometry in the Materials Project gives the computed X-ray powder pattern in this record (Cu Kα X-rays).
Peak positions follow from Bragg's law for the DFT cell and can differ from measured ones.

Structure:
Cell: 5.228 6.148 11.990 Å, 84.18 78.75 86.59°
Space group P1 (No. 1)
Symmetry-distinct sites (fractional):
Li 0.000 0.000 0.000
Li 0.079 0.820 0.201
Li 0.409 0.174 0.526
Li 0.730 0.509 0.859
Mn 0.105 0.831 0.767
Mn 0.307 0.321 0.763
Mn 0.434 0.177 0.111
Mn 0.635 0.658 0.102
Mn 0.780 0.496 0.437
Mn 0.984 0.985 0.427
B 0.195 0.557 0.986
B 0.217 0.595 0.547
B 0.521 0.886 0.326
B 0.553 0.946 0.884
B 0.858 0.215 0.656
B 0.877 0.245 0.217
O 0.036 0.129 0.136
O 0.046 0.682 0.066
O 0.105 0.517 0.888
O 0.116 0.147 0.667
O 0.251 0.590 0.661
O 0.300 0.035 0.865
O 0.369 0.986 0.415
O 0.380 0.482 0.470
O 0.434 0.858 0.227
O 0.445 0.481 0.998
O 0.626 0.975 0.987
O 0.651 0.350 0.196
O 0.699 0.314 0.743
O 0.700 0.823 0.806
O 0.780 0.816 0.335
O 0.781 0.186 0.554
O 0.940 0.253 0.326
O 0.988 0.705 0.522

Largest 10 diffraction maxima, most intense first, 2θ = 5–70°:
hkl 0 2 -2, 2θ 34.3, d = 2.611 Å, I = 100.0; hkl 1 0 -1, 2θ 20.2, d = 4.396 Å, I = 83.4; hkl 0 0 3, 2θ 22.8, d = 3.903 Å, I = 67.2; hkl 1 1 1, 2θ 21.9, d = 4.060 Å, I = 45.9; hkl -1 1 3, 2θ 34.1, d = 2.631 Å, I = 32.7; hkl 0 2 4, 2θ 40.7, d = 2.218 Å, I = 31.5; hkl 2 1 3, 2θ 39.7, d = 2.272 Å, I = 26.7; hkl 1 0 2, 2θ 20.8, d = 4.281 Å, I = 24.3; hkl 1 1 4, 2θ 33.9, d = 2.642 Å, I = 24.0; hkl 2 1 0, 2θ 37.5, d = 2.398 Å, I = 23.4


For LiMn2B8O14, the PBE+U geometry in the Materials Project gives the computed X-ray powder pattern in this record (Cu Kα X-rays).
Peak positions follow from Bragg's law for the DFT cell and can differ from measured ones.

Structure:
Cell: 6.506 5.174 7.686 Å, 90.00 114.27 90.00°
Space group Pm (No. 6)
Symmetry-distinct sites (fractional):
Li 0.000 0.000 0.000
Mn 0.295 0.000 0.795
Mn 0.583 0.500 0.263
B 0.044 0.500 0.813
B 0.154 0.263 0.349
B 0.314 0.500 0.661
B 0.524 0.000 0.386
B 0.684 0.245 0.699
B 0.799 0.000 0.241
O 0.220 0.269 0.554
O 0.220 0.500 0.277
O 0.257 0.000 0.304
O 0.267 0.500 0.837
O 0.574 0.000 0.214
O 0.577 0.500 0.737
O 0.618 0.231 0.493
O 0.628 0.000 0.774
O 0.904 0.231 0.248
O 0.932 0.272 0.800

Largest 10 diffraction maxima, most intense first, 2θ = 5–70°:
hkl 0 0 2, 2θ 25.4, d = 3.503 Å, I = 100.0; hkl 1 2 0, 2θ 38.0, d = 2.370 Å, I = 42.2; hkl 0 0 1, 2θ 12.6, d = 7.006 Å, I = 39.2; hkl 2 0 -1, 2θ 27.4, d = 3.253 Å, I = 38.3; hkl 1 2 2, 2θ 49.8, d = 1.829 Å, I = 26.9; hkl 2 2 -2, 2θ 46.8, d = 1.941 Å, I = 26.7; hkl 0 2 2, 2θ 43.5, d = 2.081 Å, I = 26.4; hkl 3 0 0, 2θ 45.9, d = 1.977 Å, I = 25.9; hkl 1 0 0, 2θ 14.9, d = 5.931 Å, I = 25.1; hkl 1 2 -2, 2θ 42.4, d = 2.132 Å, I = 23.3


For Li2Mn3B3O9, the PBE+U geometry in the Materials Project gives the computed X-ray powder pattern in this record (Cu Kα X-rays).
Peak positions follow from Bragg's law for the DFT cell and can differ from measured ones.

Structure:
Cell: 5.259 6.135 12.864 Å, 85.90 89.24 64.70°
Space group P-1 (No. 2)
Symmetry-distinct sites (fractional):
Li 0.035 0.108 0.079
Li 0.288 0.243 0.595
Mn 0.130 0.606 0.144
Mn 0.211 0.722 0.537
Mn 0.460 0.952 0.798
B 0.107 0.937 0.311
B 0.232 0.382 0.361
B 0.453 0.245 0.977
O 0.027 0.038 0.785
O 0.033 0.076 0.598
O 0.047 0.559 0.646
O 0.276 0.777 0.022
O 0.305 0.261 0.071
O 0.315 0.240 0.886
O 0.366 0.366 0.455
O 0.379 0.914 0.316
O 0.384 0.358 0.267

Largest 10 diffraction maxima, most intense first, 2θ = 5–70°:
hkl 0 2 2, 2θ 34.4, d = 2.609 Å, I = 100.0; hkl 1 1 -1, 2θ 20.2, d = 4.389 Å, I = 81.6; hkl 1 1 2, 2θ 22.8, d = 3.896 Å, I = 67.0; hkl 2 1 0, 2θ 34.1, d = 2.632 Å, I = 57.0; hkl 0 1 -2, 2θ 22.0, d = 4.046 Å, I = 45.9; hkl 2 0 2, 2θ 40.7, d = 2.215 Å, I = 32.3; hkl 0 0 3, 2θ 20.8, d = 4.276 Å, I = 23.3; hkl 1 2 -3, 2θ 37.6, d = 2.390 Å, I = 23.0; hkl 1 3 4, 2θ 51.4, d = 1.779 Å, I = 22.6; hkl 0 1 -5, 2θ 39.8, d = 2.265 Å, I = 22.1


For LiMn2B2O6, the PBE+U geometry in the Materials Project gives the computed X-ray powder pattern in this record (Cu Kα X-rays).
Peak positions follow from Bragg's law for the DFT cell and can differ from measured ones.

Structure:
Cell: 5.817 9.232 12.436 Å, 75.79 87.93 75.70°
Space group P1 (No. 1)
Symmetry-distinct sites (fractional):
Li 0.000 0.000 0.000
Li 0.051 0.675 0.416
Li 0.261 0.080 0.612
Li 0.778 0.601 0.797
Li 0.845 0.276 0.213
Mn 0.065 0.334 0.006
Mn 0.185 0.757 0.623
Mn 0.266 0.691 0.204
Mn 0.380 0.191 0.821
Mn 0.463 0.092 0.398
Mn 0.568 0.595 0.007
Mn 0.651 0.491 0.601
Mn 0.780 0.953 0.212
Mn 0.838 0.930 0.789
Mn 0.984 0.355 0.419
B 0.047 0.672 0.987
B 0.177 0.418 0.617
B 0.248 0.039 0.195
B 0.375 0.844 0.809
B 0.451 0.435 0.404
B 0.597 0.239 0.023
B 0.652 0.837 0.605
B 0.789 0.611 0.224
B 0.860 0.262 0.806
B 0.983 0.014 0.421
O 0.003 0.479 0.532
O 0.044 0.858 0.466
O 0.057 0.191 0.882
O 0.092 0.113 0.458
O 0.127 0.934 0.170
O 0.160 0.193 0.159
O 0.195 0.897 0.725
O 0.243 0.597 0.059
O 0.244 0.262 0.666
O 0.287 0.521 0.645
O 0.325 0.330 0.389
O 0.367 0.589 0.364
O 0.412 0.290 0.944
O 0.452 0.978 0.264
O 0.458 0.687 0.853
O 0.478 0.951 0.833
O 0.526 0.731 0.592
O 0.577 0.990 0.562
O 0.614 0.671 0.140
O 0.659 0.373 0.470
O 0.689 0.083 0.063
O 0.692 0.347 0.055
O 0.721 0.166 0.788
O 0.807 0.414 0.760
O 0.816 0.079 0.332
O 0.853 0.773 0.679
O 0.864 0.455 0.265
O 0.892 0.714 0.260
O 0.911 0.575 0.961
O 0.988 0.826 0.946

Largest 10 diffraction maxima, most intense first, 2θ = 5–70°:
hkl 0 1 -2, 2θ 19.9, d = 4.464 Å, I = 100.0; hkl 2 0 -2, 2θ 34.8, d = 2.578 Å, I = 79.2; hkl 1 2 0, 2θ 22.6, d = 3.936 Å, I = 77.7; hkl 0 1 3, 2θ 22.0, d = 4.041 Å, I = 63.0; hkl 0 3 -1, 2θ 33.6, d = 2.668 Å, I = 37.6; hkl 0 0 5, 2θ 37.3, d = 2.410 Å, I = 29.5; hkl 1 1 2, 2θ 20.7, d = 4.285 Å, I = 29.3; hkl 0 2 1, 2θ 20.0, d = 4.441 Å, I = 28.0; hkl 0 4 2, 2θ 40.6, d = 2.221 Å, I = 27.7; hkl 3 2 -2, 2θ 51.5, d = 1.774 Å, I = 24.1


Which formula does entry 4 have? LiMn2B2O6